Entry 1:
# Li4Mn3O7
Computed powder diffractogram, CuKα. Input: a DFT-relaxed cell (PBE+U, the Materials Project).

Crystal structure
```
data_Li4Mn3O7
_chemical_formula_sum 'Li8 Mn6 O14'
_symmetry_space_group_name_H-M 'P -1'
_symmetry_Int_Tables_number 2
_cell_length_a 5.0752
_cell_length_b 5.0900
_cell_length_c 10.6748
_cell_angle_alpha 84.05
_cell_angle_beta 79.58
_cell_angle_gamma 72.71
loop_
_symmetry_equiv_pos_as_xyz
'x,y,z'
'-x,-y,-z'
loop_
_atom_site_label
_atom_site_fract_x
_atom_site_fract_y
_atom_site_fract_z
Li1 0.0000 0.0000 0.0000
Li2 0.0645 0.4973 0.8631
Li3 0.2238 0.4943 0.5663
Li4 0.3727 0.4932 0.2758
Li5 0.5000 0.5000 0.0000
Mn1 0.1244 0.0155 0.7241
Mn2 0.2922 0.9959 0.4260
Mn3 0.4411 0.9854 0.1357
O1 0.0445 0.7679 0.4217
O2 0.1462 0.2034 0.2719
O3 0.2061 0.7563 0.1387
O4 0.2863 0.2190 0.9970
O5 0.3208 0.7802 0.8495
O6 0.3739 0.2432 0.7274
O7 0.4700 0.7683 0.5632
```

Peak list (8 most intense, 2θ = 15–90°, most intense first)
| 2θ (°) | intensity |
| --- | --- |
| 18.28 | 100 |
| 44.29 | 56 |
| 40.87 | 34 |
| 34.08 | 17 |
| 36.22 | 12 |
| 36.39 | 12 |
| 58.34 | 9 |
| 61.54 | 8 |



Entry 2:
# Li3MnO4
Computed powder diffractogram, CuKα. Input: a DFT-relaxed cell (PBE+U, the Materials Project).

Crystal structure
```
data_Li3MnO4
_chemical_formula_sum 'Li3 Mn1 O4'
_symmetry_space_group_name_H-M 'P 1'
_symmetry_Int_Tables_number 1
_cell_length_a 2.8533
_cell_length_b 5.0829
_cell_length_c 5.0848
_cell_angle_alpha 109.05
_cell_angle_beta 90.10
_cell_angle_gamma 90.25
loop_
_symmetry_equiv_pos_as_xyz
'x,y,z'
loop_
_atom_site_label
_atom_site_fract_x
_atom_site_fract_y
_atom_site_fract_z
Li1 0.0000 0.0000 0.0000
Li2 0.0155 0.5060 0.5006
Li3 0.5191 0.5046 0.0033
Mn1 0.5086 0.0055 0.5031
O1 0.0067 0.7837 0.2780
O2 0.0100 0.2296 0.7292
O3 0.5076 0.7745 0.7322
O4 0.5099 0.2346 0.2734
```

Peak list (8 most intense, 2θ = 15–90°, most intense first)
| 2θ (°) | intensity |
| --- | --- |
| 18.46 | 100 |
| 21.46 | 25 |
| 44.03 | 23 |
| 43.73 | 22 |
| 44.28 | 22 |
| 63.80 | 11 |
| 63.99 | 11 |
| 36.70 | 11 |



Entry 3:
# Li2MnO3
Computed powder diffractogram, CuKα. Input: a DFT-relaxed cell (PBE+U, the Materials Project).

Crystal structure
```
data_Li2MnO3
_chemical_formula_sum 'Li4 Mn2 O6'
_symmetry_space_group_name_H-M 'P -1'
_symmetry_Int_Tables_number 2
_cell_length_a 2.8903
_cell_length_b 5.9369
_cell_length_c 6.4464
_cell_angle_alpha 103.49
_cell_angle_beta 102.92
_cell_angle_gamma 90.15
loop_
_symmetry_equiv_pos_as_xyz
'x,y,z'
'-x,-y,-z'
loop_
_atom_site_label
_atom_site_fract_x
_atom_site_fract_y
_atom_site_fract_z
Li1 0.0000 0.0000 0.0000
Li2 0.0000 0.5000 0.0000
Li3 0.3427 0.1651 0.6888
Mn1 0.3409 0.6742 0.6798
O1 0.1690 0.1162 0.3421
O2 0.1727 0.5601 0.3446
O3 0.4889 0.7429 0.9761
```

Peak list (8 most intense, 2θ = 15–90°, most intense first)
| 2θ (°) | intensity |
| --- | --- |
| 18.47 | 100 |
| 43.65 | 35 |
| 43.77 | 35 |
| 15.37 | 32 |
| 44.56 | 31 |
| 36.31 | 22 |
| 23.65 | 21 |
| 64.10 | 17 |